For LaUPa, a DFT-relaxed cell (GGA-PBE, Alexandria) gives the calculated powder XRD pattern in this record (Cu Kα).

Main lines, in order of rising 2θ (5° ≤ 2θ ≤ 70°):
| 2θ (°) | I/Imax | index |
| --- | --- | --- |
| 13.74 | 62.2 | 0 0 2 |
| 27.68 | 17.2 | 0 0 4 |
| 31.30 | 100.0 | 1 0 3 |
| 33.77 | 70.7 | 0 2 3 |
| 35.46 | 81.5 | 1 2 0 |
| 42.27 | 17.1 | 1 0 5 |
| 45.57 | 16.0 | 1 2 4 |
| 47.51 | 21.2 | 2 0 0 |
| 55.37 | 17.7 | 1 0 7 |
| 59.55 | 29.3 | 2 2 3 |

```
data_LaUPa
_chemical_formula_sum 'La4 U4 Pa4'
_cell_length_a 3.827
_cell_length_b 6.751
_cell_length_c 12.890
_cell_angle_alpha 90.00
_cell_angle_beta 90.00
_cell_angle_gamma 90.00
_symmetry_space_group_name_H-M 'P 21 21 21'
_symmetry_Int_Tables_number 19
loop_
_symmetry_equiv_pos_as_xyz
'x,y,z'
'-x+1/2,-y,z+1/2'
'x+1/2,-y+1/2,-z'
'-x,y+1/2,-z+1/2'
loop_
_atom_site_label
_atom_site_fract_x
_atom_site_fract_y
_atom_site_fract_z
La1 0.000 0.126 0.247
U1 0.001 0.105 0.553
Pa1 0.001 0.579 0.552
```